Structure and calculated X-ray diffraction stick pattern of CsCaTbBr6 (a cell relaxed with GGA-PBE; a wavelength of 1.5418 Å).
Neutral-atom scattering factors, no anomalous dispersion.

Cell and atoms:
abc: 7.515 7.515 16.045
angles: 90.00 90.00 120.00
Fractional coordinates of all 18 atoms:
Cs 0.000 0.000 0.000
Cs 0.000 0.000 0.500
Ca 0.333 0.667 0.250
Ca 0.667 0.333 0.750
Tb 0.333 0.667 0.750
Tb 0.667 0.333 0.250
Br 0.009 0.382 0.647
Br 0.009 0.627 0.853
Br 0.373 0.382 0.853
Br 0.373 0.991 0.647
Br 0.382 0.009 0.147
Br 0.382 0.373 0.353
Br 0.618 0.627 0.647
Br 0.618 0.991 0.853
Br 0.627 0.009 0.353
Br 0.627 0.618 0.147
Br 0.991 0.373 0.147
Br 0.991 0.618 0.353

Main lines, by angle (2θ = 5–70°):
d_spacing	2θ/deg	intensity
8.022	11.0	30
6.031	14.7	26
5.054	17.5	92
3.403	26.2	85
2.742	32.7	100
2.352	38.3	32
2.179	41.4	20
2.169	41.6	40
2.066	43.8	18
1.761	51.9	22

Structure and calculated X-ray diffraction stick pattern of CsCaTiBr6 (a cell relaxed with GGA-PBE; a wavelength of 1.5418 Å).
Neutral-atom scattering factors, no anomalous dispersion.

Cell and atoms:
abc: 7.235 7.235 8.089
angles: 90.08 90.08 120.07
Fractional coordinates of all 9 atoms:
Cs 0.000 0.000 0.000
Ca 0.334 0.666 0.500
Ti 0.667 0.333 0.500
Br 0.385 0.030 0.689
Br 0.389 0.358 0.308
Br 0.642 0.611 0.692
Br 0.643 0.031 0.309
Br 0.969 0.357 0.691
Br 0.970 0.615 0.311

Main lines, by angle (2θ = 5–70°):
d_spacing	2θ/deg	intensity
8.089	10.9	20
4.953	17.9	74
3.301	27.0	100
3.132	28.5	16
2.696	33.2	100
2.272	39.7	30
2.088	43.3	32
2.045	44.3	18
1.766	51.8	23
1.652	55.6	17

Structure and calculated X-ray diffraction stick pattern of CaCuBr5 (a cell relaxed with GGA-PBE; a wavelength of 1.5418 Å).
Neutral-atom scattering factors, no anomalous dispersion.

Cell and atoms:
abc: 7.054 7.054 8.905
angles: 98.49 98.49 93.20
Fractional coordinates of all 14 atoms:
Ca 0.034 0.966 0.750
Ca 0.966 0.034 0.250
Cu 0.000 0.500 0.000
Cu 0.500 0.000 0.500
Br 0.197 0.224 0.038
Br 0.224 0.197 0.538
Br 0.251 0.749 0.250
Br 0.259 0.665 0.890
Br 0.335 0.741 0.610
Br 0.665 0.259 0.390
Br 0.741 0.335 0.110
Br 0.749 0.251 0.750
Br 0.776 0.803 0.462
Br 0.803 0.776 0.962

Main lines, by angle (2θ = 5–70°):
d_spacing	2θ/deg	intensity
5.905	15.0	46
5.056	17.5	82
3.478	25.6	100
3.214	27.8	57
2.906	30.8	90
2.758	32.5	51
2.563	35.0	60
2.537	35.4	55
2.344	38.4	53
1.922	47.3	52

Structure and calculated X-ray diffraction stick pattern of Ca2Nb3CuBrO10 (a cell relaxed with GGA-PBE; a wavelength of 1.5418 Å).
Neutral-atom scattering factors, no anomalous dispersion.

Cell and atoms:
abc: 3.966 3.966 15.809
angles: 90.00 90.00 90.00
Fractional coordinates of all 17 atoms:
Ca 0.000 0.000 0.145
Ca 0.000 0.000 0.855
Nb 0.500 0.500 0.000
Nb 0.500 0.500 0.269
Nb 0.500 0.500 0.731
Cu 0.500 0.500 0.500
Br 0.000 0.000 0.500
O 0.000 0.500 0.000
O 0.000 0.500 0.242
O 0.000 0.500 0.758
O 0.500 0.000 0.000
O 0.500 0.000 0.242
O 0.500 0.000 0.758
O 0.500 0.500 0.125
O 0.500 0.500 0.383
O 0.500 0.500 0.617
O 0.500 0.500 0.875

Main lines, by angle (2θ = 5–70°):
d_spacing	2θ/deg	intensity
3.959	22.5	92
3.168	28.2	49
2.802	31.9	100
1.983	45.8	43
1.976	45.9	14
1.773	51.6	27
1.681	54.6	16
1.618	56.9	14
1.615	57.0	14
1.400	66.8	16

Structure and calculated X-ray diffraction stick pattern of CaNb2CuBrO7 (a cell relaxed with GGA-PBE; a wavelength of 1.5418 Å).
Neutral-atom scattering factors, no anomalous dispersion.

Cell and atoms:
abc: 3.944 3.944 11.579
angles: 90.00 90.00 90.00
Fractional coordinates of all 12 atoms:
Ca 0.000 0.000 0.000
Nb 0.500 0.500 0.184
Nb 0.500 0.500 0.816
Cu 0.500 0.500 0.500
Br 0.000 0.000 0.500
O 0.000 0.500 0.153
O 0.000 0.500 0.847
O 0.500 0.000 0.153
O 0.500 0.000 0.847
O 0.500 0.500 0.000
O 0.500 0.500 0.344
O 0.500 0.500 0.656

Main lines, by angle (2θ = 5–70°):
d_spacing	2θ/deg	intensity
3.944	22.5	66
3.860	23.0	81
3.260	27.4	74
2.789	32.1	100
2.759	32.5	37
2.008	45.1	26
1.972	46.0	63
1.756	52.1	34
1.587	58.1	28
1.379	68.0	28

Structure and calculated X-ray diffraction stick pattern of Ca2Ta3CuBrO10 (a cell relaxed with GGA-PBE; a wavelength of 1.5418 Å).
Neutral-atom scattering factors, no anomalous dispersion.

Cell and atoms:
abc: 3.946 3.946 15.762
angles: 90.00 90.00 90.00
Fractional coordinates of all 17 atoms:
Ca 0.000 0.000 0.145
Ca 0.000 0.000 0.855
Ta 0.500 0.500 0.000
Ta 0.500 0.500 0.269
Ta 0.500 0.500 0.731
Cu 0.500 0.500 0.500
Br 0.000 0.000 0.500
O 0.000 0.500 0.000
O 0.000 0.500 0.242
O 0.000 0.500 0.758
O 0.500 0.000 0.000
O 0.500 0.000 0.242
O 0.500 0.000 0.758
O 0.500 0.500 0.125
O 0.500 0.500 0.383
O 0.500 0.500 0.617
O 0.500 0.500 0.875

Main lines, by angle (2θ = 5–70°):
d_spacing	2θ/deg	intensity
15.762	5.6	15
3.943	22.5	100
3.155	28.3	40
2.789	32.1	96
2.277	39.6	18
1.972	46.0	38
1.764	51.8	38
1.673	54.9	13
1.610	57.2	29
1.394	67.1	20